[1]
For BaLi6Ga12, the GGA-PBE geometry in Alexandria gives the simulated powder diffraction line list in this record (a wavelength of 1.5418 Å).
Neutral-atom scattering factors, no anomalous dispersion.

Structural model:
Unit cell a=11.4779 b=11.4779 c=9.7031 alpha=90.00 beta=90.00 gamma=120.00
Space group R-3m (No. 166, hexagonal axes)
Symmetry-distinct sites (fractional):
1 Ba 0.0000 0.0000 0.0000 [3 per cell]
2 Li 0.0604 0.5302 0.2400 [18 per cell]
3 Ga 0.0000 0.3884 0.5000 [18 per cell]
4 Ga 0.0933 0.1866 0.3023 [18 per cell]

The 6 most intense peaks (2θ = 10–80°), in order of rising 2θ:
| two_theta | d_spacing | intensity | h k l |
| --- | --- | --- | --- |
| 25.7 | 3.472 | 400 | 2 0 2 |
| 31.8 | 2.818 | 501 | 1 1 3 |
| 33.8 | 2.652 | 1000 | 1 3 1 |
| 38.9 | 2.314 | 253 | 0 3 3 |
| 41.4 | 2.180 | 191 | 0 2 4 |
| 49.6 | 1.840 | 243 | 5 0 2 |

***

[2]
For Ba5LiGa6, the GGA-PBE geometry in Alexandria gives the simulated powder diffraction line list in this record (a wavelength of 1.5418 Å).
Neutral-atom scattering factors, no anomalous dispersion.

Structural model:
Unit cell a=6.8924 b=15.2395 c=8.2447 alpha=90.00 beta=111.27 gamma=90.00
Space group C2/m (No. 12)
Symmetry-distinct sites (fractional):
1 Ba 0.0000 0.0000 0.0000 [2 per cell]
2 Ba 0.0000 0.3082 0.0000 [4 per cell]
3 Ba 0.0000 0.3545 0.5000 [4 per cell]
4 Li 0.0000 0.0000 0.5000 [2 per cell]
5 Ga 0.0624 0.1421 0.6753 [8 per cell]
6 Ga 0.1487 0.5000 0.2225 [4 per cell]

The 6 most intense peaks (2θ = 10–80°), in order of rising 2θ:
| two_theta | d_spacing | intensity | h k l |
| --- | --- | --- | --- |
| 26.1 | 3.413 | 633 | 0 4 1 |
| 27.8 | 3.211 | 660 | 2 0 0 |
| 28.4 | 3.141 | 1000 | 1 3 -2 |
| 29.1 | 3.073 | 542 | 2 0 -2 |
| 35.1 | 2.553 | 611 | 2 4 -1 |
| 35.9 | 2.499 | 922 | 1 3 2 |

***

[3]
For Ba3LiGa8, the GGA-PBE geometry in Alexandria gives the simulated powder diffraction line list in this record (a wavelength of 1.5418 Å).
Neutral-atom scattering factors, no anomalous dispersion.

Structural model:
Unit cell a=5.8924 b=5.8924 c=29.1611 alpha=90.00 beta=90.00 gamma=120.00
Space group R3m (No. 160, hexagonal axes)
Symmetry-distinct sites (fractional):
1 Ba 0.0000 0.0000 0.0000 [3 per cell]
2 Ba 0.0000 0.0000 0.1264 [3 per cell]
3 Ba 0.0000 0.0000 0.6201 [3 per cell]
4 Li 0.0000 0.0000 0.4944 [3 per cell]
5 Ga 0.0000 0.0000 0.3140 [3 per cell]
6 Ga 0.0000 0.0000 0.8105 [3 per cell]
7 Ga 0.0006 0.5003 0.0641 [9 per cell]
8 Ga 0.0029 0.5014 0.5589 [9 per cell]

The 6 most intense peaks (2θ = 10–80°), in order of rising 2θ:
| two_theta | d_spacing | intensity | h k l |
| --- | --- | --- | --- |
| 30.1 | 2.966 | 246 | 0 1 8 |
| 30.3 | 2.946 | 247 | 1 1 0 |
| 35.5 | 2.532 | 353 | 1 0 10 |
| 35.7 | 2.517 | 1000 | 2 0 2 |
| 37.3 | 2.408 | 327 | 0 2 4 |
| 63.1 | 1.473 | 180 | 2 2 0 |